(1)
This entry pairs a crystal structure of Tb5Y4Tc2 with its simulated X-ray diffraction stick pattern. Radiation: Cu Kα X-rays. Structure: a DFT-relaxed cell (PBE, Alexandria).

Principal peaks in the range 2θ = 5–70°, low angle first:
index	Position (°2θ)	I_rel
0 1 0	24.7	36
1 0 3	27.4	39
1 1 -2	31.8	100
3 0 0	32.3	35
2 0 3	33.3	31
1 0 4	35.5	54

Atomic structure:
```
data_Tb5Y4Tc2
_chemical_formula_sum 'Tb5 Y4 Tc2'
_symmetry_space_group_name_H-M 'P 1 2/m 1'
_symmetry_Int_Tables_number 10
_cell_length_a 8.3124
_cell_length_b 3.6093
_cell_length_c 10.6223
_cell_angle_alpha 90.00
_cell_angle_beta 90.21
_cell_angle_gamma 90.00
loop_
_symmetry_equiv_pos_as_xyz
'x,y,z'
'-x,-y,-z'
'-x,y,-z'
'x,-y,z'
loop_
_atom_site_label
_atom_site_fract_x
_atom_site_fract_y
_atom_site_fract_z
Tb1 0.0000 0.0000 0.0000
Tb2 0.0694 0.0000 0.6631
Tb3 0.3232 0.0000 0.1718
Y1 0.3131 0.5000 0.4551
Y2 0.3310 0.5000 0.8649
Tc1 0.4245 0.0000 0.6611
```



(2)
This entry pairs a crystal structure of TbZrZnTc with its simulated X-ray diffraction stick pattern. Radiation: Cu Kα X-rays. Structure: a DFT-relaxed cell (PBE, Alexandria).

Principal peaks in the range 2θ = 5–70°, low angle first:
index	Position (°2θ)	I_rel
1 1 1	22.6	7
2 0 0	26.1	4
2 2 0	37.3	100
3 1 1	44.0	4
4 0 0	53.8	17
4 2 2	67.3	34

Atomic structure:
```
data_TbZrZnTc
_chemical_formula_sum 'Tb4 Zr4 Zn4 Tc4'
_symmetry_space_group_name_H-M 'F -4 3 m'
_symmetry_Int_Tables_number 216
_symmetry_space_group_name_Hall 'F -4 2 3'
_cell_length_a 6.8189
_cell_length_b 6.8189
_cell_length_c 6.8189
_cell_angle_alpha 90.00
_cell_angle_beta 90.00
_cell_angle_gamma 90.00
loop_
_atom_site_label
_atom_site_fract_x
_atom_site_fract_y
_atom_site_fract_z
Tb1 0.0000 0.0000 0.0000
Zr1 0.0000 0.0000 0.5000
Zn1 0.2500 0.2500 0.2500
Tc1 0.2500 0.2500 0.7500
```



(3)
This entry pairs a crystal structure of Tb2Te5 with its simulated X-ray diffraction stick pattern. Radiation: Cu Kα X-rays. Structure: a DFT-relaxed cell (PBE, Alexandria).

Principal peaks in the range 2θ = 5–70°, low angle first:
index	Position (°2θ)	I_rel
0 14 0	27.8	29
1 5 1	30.5	100
1 9 1	34.1	43
1 15 0	36.4	52
2 0 0	41.2	57
2 14 0	50.4	22

Atomic structure:
```
data_Tb2Te5
_chemical_formula_sum 'Tb8 Te20'
_symmetry_space_group_name_H-M 'C m c m'
_symmetry_Int_Tables_number 63
_symmetry_space_group_name_Hall '-C 2c 2'
_cell_length_a 4.3836
_cell_length_b 44.8553
_cell_length_c 4.3836
_cell_angle_alpha 90.00
_cell_angle_beta 90.00
_cell_angle_gamma 90.00
loop_
_atom_site_label
_atom_site_fract_x
_atom_site_fract_y
_atom_site_fract_z
Tb1 0.0000 0.1022 0.2500
Tb2 0.0000 0.3059 0.2500
Te1 0.0000 0.0474 0.7500
Te2 0.0000 0.1747 0.2500
Te3 0.0000 0.2500 0.7500
Te4 0.0000 0.3763 0.2500
Te5 0.0000 0.4526 0.7500
```



(4)
This entry pairs a crystal structure of Tb2Te3 with its simulated X-ray diffraction stick pattern. Radiation: Cu Kα X-rays. Structure: a DFT-relaxed cell (PBE, Alexandria).

Principal peaks in the range 2θ = 5–70°, low angle first:
index	Position (°2θ)	I_rel
1 1 1	12.8	18
2 0 6	28.8	100
2 4 6	41.2	63
4 4 0	51.0	14
0 4 12	51.1	13
2 8 6	67.7	18

Atomic structure:
```
data_Tb2Te3
_chemical_formula_sum 'Tb32 Te48'
_symmetry_space_group_name_H-M 'F d d d'
_symmetry_Int_Tables_number 70
_cell_length_a 8.7920
_cell_length_b 12.3804
_cell_length_c 26.2566
_cell_angle_alpha 90.00
_cell_angle_beta 90.00
_cell_angle_gamma 90.00
loop_
_symmetry_equiv_pos_as_xyz
'x,y,z'
'-x,-y,-z'
'-x+1/4,-y+1/4,z'
'x+1/4,y+1/4,-z'
'x,-y+1/4,-z+1/4'
'-x,y+1/4,z+1/4'
'-x+1/4,y,-z+1/4'
'x+1/4,-y,z+1/4'
'x,y+1/2,z+1/2'
'-x,-y+1/2,-z+1/2'
'-x+1/4,-y+3/4,z+1/2'
'x+1/4,y+3/4,-z+1/2'
'x,-y+3/4,-z+3/4'
'-x,y+3/4,z+3/4'
'-x+1/4,y+1/2,-z+3/4'
'x+1/4,-y+1/2,z+3/4'
'x+1/2,y,z+1/2'
'-x+1/2,-y,-z+1/2'
'-x+3/4,-y+1/4,z+1/2'
'x+3/4,y+1/4,-z+1/2'
'x+1/2,-y+1/4,-z+3/4'
'-x+1/2,y+1/4,z+3/4'
'-x+3/4,y,-z+3/4'
'x+3/4,-y,z+3/4'
'x+1/2,y+1/2,z'
'-x+1/2,-y+1/2,-z'
'-x+3/4,-y+3/4,z'
'x+3/4,y+3/4,-z'
'x+1/2,-y+3/4,-z+1/4'
'-x+1/2,y+3/4,z+1/4'
'-x+3/4,y+1/2,-z+1/4'
'x+3/4,-y+1/2,z+1/4'
loop_
_atom_site_label
_atom_site_fract_x
_atom_site_fract_y
_atom_site_fract_z
Tb1 0.1250 0.1250 0.0421
Tb2 0.1250 0.1250 0.3757
Te1 0.1230 0.3750 0.2078
Te2 0.1242 0.3750 0.8750
```



(5)
This entry pairs a crystal structure of Tb4Te5 with its simulated X-ray diffraction stick pattern. Radiation: Cu Kα X-rays. Structure: a DFT-relaxed cell (PBE, Alexandria).

Principal peaks in the range 2θ = 5–70°, low angle first:
index	Position (°2θ)	I_rel
1 1 0	10.6	11
3 3 0	32.1	46
3 0 1	32.2	100
6 0 0	46.0	15
6 3 1	57.2	28
3 3 2	57.5	18

Atomic structure:
```
data_Tb4Te5
_chemical_formula_sum 'Tb8 Te10'
_symmetry_space_group_name_H-M 'I 4/m m m'
_symmetry_Int_Tables_number 139
_symmetry_space_group_name_Hall '-I 4 2'
_cell_length_a 11.8433
_cell_length_b 11.8433
_cell_length_c 3.9187
_cell_angle_alpha 90.00
_cell_angle_beta 90.00
_cell_angle_gamma 90.00
loop_
_atom_site_label
_atom_site_fract_x
_atom_site_fract_y
_atom_site_fract_z
Tb1 0.1562 0.1562 0.0000
Te1 0.0000 0.0000 0.5000
Te2 0.0000 0.3039 0.5000
```



(6)
This entry pairs a crystal structure of TbThTe3 with its simulated X-ray diffraction stick pattern. Radiation: Cu Kα X-rays. Structure: a DFT-relaxed cell (PBE, Alexandria).

Principal peaks in the range 2θ = 5–70°, low angle first:
index	Position (°2θ)	I_rel
0 2 0	7.9	80
1 3 1	26.1	74
1 5 1	30.6	100
0 6 2	33.4	60
1 7 1	36.5	52
1 1 3	40.8	71

Atomic structure:
```
data_TbThTe3
_chemical_formula_sum 'Tb4 Th4 Te12'
_symmetry_space_group_name_H-M 'C m c 21'
_symmetry_Int_Tables_number 36
_cell_length_a 4.4400
_cell_length_b 22.3984
_cell_length_c 7.6957
_cell_angle_alpha 90.00
_cell_angle_beta 90.00
_cell_angle_gamma 90.00
loop_
_symmetry_equiv_pos_as_xyz
'x,y,z'
'-x,-y,z+1/2'
'-x,y,z'
'x,-y,z+1/2'
'x+1/2,y+1/2,z'
'-x+1/2,-y+1/2,z+1/2'
'-x+1/2,y+1/2,z'
'x+1/2,-y+1/2,z+1/2'
loop_
_atom_site_label
_atom_site_fract_x
_atom_site_fract_y
_atom_site_fract_z
Tb1 0.0000 0.1638 0.0000
Th1 0.0000 0.3394 0.9967
Te1 0.0000 0.0855 0.6731
Te2 0.0000 0.2505 0.3314
Te3 0.0000 0.4115 0.6581
```



(7)
This entry pairs a crystal structure of Tb6Tl3Te with its simulated X-ray diffraction stick pattern. Radiation: Cu Kα X-rays. Structure: a DFT-relaxed cell (PBE, Alexandria).

Principal peaks in the range 2θ = 5–70°, low angle first:
index	Position (°2θ)	I_rel
3 1 1	27.0	85
2 2 2	30.9	77
1 3 2	31.1	100
2 4 1	32.1	90
0 4 2	34.6	42
4 2 1	36.1	63

Atomic structure:
```
data_Tb6Tl3Te
_chemical_formula_sum 'Tb24 Tl12 Te4'
_symmetry_space_group_name_H-M 'C m c 21'
_symmetry_Int_Tables_number 36
_cell_length_a 11.3454
_cell_length_b 14.0942
_cell_length_c 7.6623
_cell_angle_alpha 90.00
_cell_angle_beta 90.00
_cell_angle_gamma 90.00
loop_
_symmetry_equiv_pos_as_xyz
'x,y,z'
'-x,-y,z+1/2'
'-x,y,z'
'x,-y,z+1/2'
'x+1/2,y+1/2,z'
'-x+1/2,-y+1/2,z+1/2'
'-x+1/2,y+1/2,z'
'x+1/2,-y+1/2,z+1/2'
loop_
_atom_site_label
_atom_site_fract_x
_atom_site_fract_y
_atom_site_fract_z
Tb1 0.0000 0.0116 0.0000
Tb2 0.0000 0.2944 0.9407
Tb3 0.1645 0.3028 0.4715
Tb4 0.2304 0.4465 0.8408
Tl1 0.0000 0.4851 0.5959
Tl2 0.1466 0.1349 0.7202
Te1 0.0000 0.1678 0.2658
```



(8)
This entry pairs a crystal structure of Tb4TlTe with its simulated X-ray diffraction stick pattern. Radiation: Cu Kα X-rays. Structure: a DFT-relaxed cell (PBE, Alexandria).

Principal peaks in the range 2θ = 5–70°, low angle first:
index	Position (°2θ)	I_rel
2 1 0	30.8	100
1 0 7	32.1	73
2 1 3	33.4	93
1 1 7	37.5	80
0 2 0	38.5	60
4 0 3	51.0	60

Atomic structure:
```
data_Tb4TlTe
_chemical_formula_sum 'Tb16 Tl4 Te4'
_symmetry_space_group_name_H-M 'P n m a'
_symmetry_Int_Tables_number 62
_cell_length_a 7.4037
_cell_length_b 4.6807
_cell_length_c 21.0885
_cell_angle_alpha 90.00
_cell_angle_beta 90.00
_cell_angle_gamma 90.00
loop_
_symmetry_equiv_pos_as_xyz
'x,y,z'
'-x,-y,-z'
'-x+1/2,-y,z+1/2'
'x+1/2,y,-z+1/2'
'x+1/2,-y+1/2,-z+1/2'
'-x+1/2,y+1/2,z+1/2'
'-x,y+1/2,-z'
'x,-y+1/2,z'
loop_
_atom_site_label
_atom_site_fract_x
_atom_site_fract_y
_atom_site_fract_z
Tb1 0.0530 0.2500 0.0775
Tb2 0.0713 0.2500 0.3586
Tb3 0.0851 0.2500 0.7830
Tb4 0.1405 0.2500 0.5282
Tl1 0.2146 0.2500 0.9289
Te1 0.2045 0.2500 0.2158
```



(9)
This entry pairs a crystal structure of Tb2TlTe4 with its simulated X-ray diffraction stick pattern. Radiation: Cu Kα X-rays. Structure: a DFT-relaxed cell (PBE, Alexandria).

Principal peaks in the range 2θ = 5–70°, low angle first:
index	Position (°2θ)	I_rel
2 0 0	19.3	28
1 0 3	22.7	68
0 0 4	27.5	48
3 2 1	35.9	50
2 2 4	39.2	100
5 0 3	54.3	18

Atomic structure:
```
data_Tb2TlTe4
_chemical_formula_sum 'Tb8 Tl4 Te16'
_symmetry_space_group_name_H-M 'I 41/a m d'
_symmetry_Int_Tables_number 141
_cell_length_a 9.1888
_cell_length_b 9.1888
_cell_length_c 12.9729
_cell_angle_alpha 90.00
_cell_angle_beta 90.00
_cell_angle_gamma 90.00
loop_
_symmetry_equiv_pos_as_xyz
'x,y,z'
'-x,-y,-z'
'-y+1/4,x+3/4,z+1/4'
'y+1/4,-x+3/4,-z+1/4'
'-x+1/2,-y,z+1/2'
'x+1/2,y,-z+1/2'
'y+1/4,-x+1/4,z+3/4'
'-y+1/4,x+1/4,-z+3/4'
'x,-y,-z'
'-x,y,z'
'-y+1/4,-x+1/4,-z+3/4'
'y+1/4,x+1/4,z+3/4'
'-x+1/2,y,-z+1/2'
'x+1/2,-y,z+1/2'
'y+1/4,x+3/4,-z+1/4'
'-y+1/4,-x+3/4,z+1/4'
'x+1/2,y+1/2,z+1/2'
'-x+1/2,-y+1/2,-z+1/2'
'-y+3/4,x+1/4,z+3/4'
'y+3/4,-x+1/4,-z+3/4'
'-x,-y+1/2,z'
'x,y+1/2,-z'
'y+3/4,-x+3/4,z+1/4'
'-y+3/4,x+3/4,-z+1/4'
'x+1/2,-y+1/2,-z+1/2'
'-x+1/2,y+1/2,z+1/2'
'-y+3/4,-x+3/4,-z+1/4'
'y+3/4,x+3/4,z+1/4'
'-x,y+1/2,-z'
'x,-y+1/2,z'
'y+3/4,x+1/4,-z+3/4'
'-y+3/4,-x+1/4,z+3/4'
loop_
_atom_site_label
_atom_site_fract_x
_atom_site_fract_y
_atom_site_fract_z
Tb1 0.0000 0.0000 0.0000
Tl1 0.0000 0.2500 0.3750
Te1 0.0000 0.0233 0.7613
```



(10)
This entry pairs a crystal structure of Tb10Tl3Te3 with its simulated X-ray diffraction stick pattern. Radiation: Cu Kα X-rays. Structure: a DFT-relaxed cell (PBE, Alexandria).

Principal peaks in the range 2θ = 5–70°, low angle first:
index	Position (°2θ)	I_rel
0 0 2	27.7	20
2 1 0	30.2	29
2 1 1	33.3	100
1 1 2	34.1	76
3 0 0	34.3	44
2 1 3	52.6	28

Atomic structure:
```
data_Tb10Tl3Te3
_chemical_formula_sum 'Tb10 Tl3 Te3'
_symmetry_space_group_name_H-M 'P -6 2 m'
_symmetry_Int_Tables_number 189
_symmetry_space_group_name_Hall 'P -6 -2'
_cell_length_a 9.0526
_cell_length_b 9.0526
_cell_length_c 6.4490
_cell_angle_alpha 90.00
_cell_angle_beta 90.00
_cell_angle_gamma 120.00
loop_
_atom_site_label
_atom_site_fract_x
_atom_site_fract_y
_atom_site_fract_z
Tb1 0.0000 0.2383 0.0000
Tb2 0.0000 0.7574 0.5000
Tb3 0.3333 0.6667 0.2498
Tl1 0.0000 0.6080 0.0000
Te1 0.0000 0.3877 0.5000
```



(11)
This entry pairs a crystal structure of TbTm2Te with its simulated X-ray diffraction stick pattern. Radiation: Cu Kα X-rays. Structure: a DFT-relaxed cell (PBE, Alexandria).

Principal peaks in the range 2θ = 5–70°, low angle first:
index	Position (°2θ)	I_rel
1 1 2	30.2	100
0 2 3	31.2	28
1 3 0	32.0	35
1 3 1	33.3	52
0 4 2	35.0	50
0 0 4	36.8	27

Atomic structure:
```
data_TbTm2Te
_chemical_formula_sum 'Tb4 Tm8 Te4'
_symmetry_space_group_name_H-M 'C m c m'
_symmetry_Int_Tables_number 63
_symmetry_space_group_name_Hall '-C 2c 2'
_cell_length_a 3.9068
_cell_length_b 12.0269
_cell_length_c 9.7655
_cell_angle_alpha 90.00
_cell_angle_beta 90.00
_cell_angle_gamma 90.00
loop_
_atom_site_label
_atom_site_fract_x
_atom_site_fract_y
_atom_site_fract_z
Tb1 0.0000 0.0546 0.2500
Tm1 0.0000 0.3648 0.0357
Te1 0.0000 0.2344 0.7500
```



(12)
This entry pairs a crystal structure of Tb3TmTe6 with its simulated X-ray diffraction stick pattern. Radiation: Cu Kα X-rays. Structure: a DFT-relaxed cell (PBE, Alexandria).

Principal peaks in the range 2θ = 5–70°, low angle first:
index	Position (°2θ)	I_rel
1 1 -3	22.9	56
1 0 2	26.8	73
0 2 3	32.8	56
1 3 -1	35.6	100
3 1 -1	41.8	56
3 1 -5	42.1	64

Atomic structure:
```
data_Tb3TmTe6
_chemical_formula_sum 'Tb6 Tm2 Te12'
_symmetry_space_group_name_H-M 'P 1 21/c 1'
_symmetry_Int_Tables_number 14
_cell_length_a 7.3218
_cell_length_b 8.0673
_cell_length_c 13.2915
_cell_angle_alpha 90.00
_cell_angle_beta 122.93
_cell_angle_gamma 90.00
loop_
_symmetry_equiv_pos_as_xyz
'x,y,z'
'-x,-y,-z'
'-x,y+1/2,-z+1/2'
'x,-y+1/2,z+1/2'
loop_
_atom_site_label
_atom_site_fract_x
_atom_site_fract_y
_atom_site_fract_z
Tb1 0.0000 0.0000 0.0000
Tb2 0.3049 0.1211 0.7521
Tm1 0.5000 0.0000 0.5000
Te1 0.0871 0.0517 0.2527
Te2 0.2456 0.6732 0.0815
Te3 0.4201 0.1764 0.0803
```